For Li2VF6, a PBE+U-relaxed structure gives the simulated powder diffractogram in this record (Cu Kα (λ = 1.5418 Å)).
Intensities are scaled so that the largest is 100.

Most intense lines, 2θ = 15–90°, by angle:
2theta, I (rel.), (hkl)
20.3, 100, 0 1 1
20.7, 36, 1 0 0
20.9, 38, 1 0 -2
23.5, 54, 0 0 2
23.9, 96, 1 1 -1
39.6, 70, 1 0 2

Structural model:
abc: 5.169 5.381 9.105
angles: 90.00 123.87 90.00
Space group Pc (No. 7)
One atom of each set of equivalent atoms:
1 Li 0.000 0.161 0.000 x2
2 Li 0.812 0.274 0.299 x2
3 V 0.322 0.254 0.808 x2
4 F 0.067 0.424 0.869 x2
5 F 0.201 0.025 0.373 x2
6 F 0.410 0.451 0.244 x2
7 F 0.583 0.059 0.768 x2
8 F 0.687 0.288 0.044 x2
9 F 0.991 0.192 0.571 x2